Structure and calculated powder diffractogram of BaSrCrSnO6 (a DFT-relaxed cell (PBE+U, the Materials Project); Cu Kα, 1.54184 Å).
Kinematic intensities with the Lorentz-polarization factor, no thermal factor.

The 6 most intense peaks (2θ = 15–90°), low angle first:
18.96 deg, I = 10; 31.20 deg, I = 100; 44.70 deg, I = 33; 55.52 deg, I = 40; 65.07 deg, I = 20; 73.93 deg, I = 18

Atomic structure:
```
data_BaSrCrSnO6
_cell_length_a 5.7336
_cell_length_b 5.7336
_cell_length_c 5.7336
_cell_angle_alpha 60.00
_cell_angle_beta 60.00
_cell_angle_gamma 60.00
_symmetry_space_group_name_H-M 'P 1'
_symmetry_Int_Tables_number 1
loop_
_symmetry_equiv_pos_as_xyz
'x,y,z'
loop_
_atom_site_label
_atom_site_type_symbol
_atom_site_fract_x
_atom_site_fract_y
_atom_site_fract_z
Ba1 Ba 0.0000 0.0000 0.0000
Sr1 Sr 0.5000 0.5000 0.5000
Cr1 Cr 0.7500 0.7500 0.7500
Sn1 Sn 0.2500 0.2500 0.2500
O1 O 0.5058 0.5058 0.9942
O2 O 0.5058 0.9942 0.5058
O3 O 0.5058 0.9942 0.9942
O4 O 0.9942 0.5058 0.5058
O5 O 0.9942 0.5058 0.9942
O6 O 0.9942 0.9942 0.5058
```